# 1
Diffraction record for K2CdPdO4. The powder X-ray diffraction pattern is computed, not measured: it uses the PBE geometry in Alexandria and a wavelength of 1.5418 Å.

Crystal structure
```
data_K2CdPdO4
_chemical_formula_sum 'K2 Cd1 Pd1 O4'
_symmetry_space_group_name_H-M 'P 1 2/m 1'
_symmetry_Int_Tables_number 10
_symmetry_space_group_name_Hall '-P 2y'
_cell_length_a 5.9662
_cell_length_b 3.3017
_cell_length_c 6.3030
_cell_angle_alpha 90.00
_cell_angle_beta 109.03
_cell_angle_gamma 90.00
loop_
_atom_site_label
_atom_site_type_symbol
_atom_site_fract_x
_atom_site_fract_y
_atom_site_fract_z
K1 K 0.0000 0.0000 0.0000
K2 K 0.5000 0.5000 0.0000
Cd1 Cd 0.0000 0.5000 0.5000
Pd1 Pd 0.5000 0.0000 0.5000
O1 O 0.2618 0.0000 0.6810
O2 O 0.3080 0.5000 0.3213
```

Top 10 peaks for 10 to 80 degrees two-theta, most intense first:
Position (°2θ)	intensity	index
14.87	100.0	0 0 1
37.15	92.0	1 1 1
32.52	60.7	1 1 -1
36.01	49.4	2 0 -2
29.99	44.2	0 0 2
31.73	33.6	2 0 0
53.82	28.5	3 1 -1
51.58	28.3	1 1 -3
31.40	19.8	1 1 0
63.11	15.9	3 1 1

---

# 2
Diffraction record for K2PrCd2O4. The powder X-ray diffraction pattern is computed, not measured: it uses the PBE geometry in Alexandria and a wavelength of 1.5418 Å.

Crystal structure
```
data_K2PrCd2O4
_chemical_formula_sum 'K4 Pr2 Cd4 O8'
_symmetry_space_group_name_H-M 'C 1 2/m 1'
_symmetry_Int_Tables_number 12
_symmetry_space_group_name_Hall '-C 2y'
_cell_length_a 12.8154
_cell_length_b 3.6842
_cell_length_c 8.9605
_cell_angle_alpha 90.00
_cell_angle_beta 125.55
_cell_angle_gamma 90.00
loop_
_atom_site_label
_atom_site_type_symbol
_atom_site_fract_x
_atom_site_fract_y
_atom_site_fract_z
K1 K 0.1810 0.0000 0.2850
Pr1 Pr 0.0000 0.0000 0.5000
Cd1 Cd 0.1217 0.5000 0.8902
O1 O 0.0686 0.5000 0.3976
O2 O 0.1997 0.0000 0.8118
```

Top 10 peaks for 10 to 80 degrees two-theta, most intense first:
Position (°2θ)	intensity	index
14.01	100.0	2 0 -1
33.52	99.7	3 1 -2
30.58	80.5	1 1 1
37.43	40.3	2 0 2
28.90	38.3	4 0 -1
30.22	37.5	2 0 -3
51.94	28.5	1 1 -4
50.27	24.6	5 1 0
44.72	20.2	5 1 -3
49.48	18.0	0 2 0